For SmPaMn4, a crystal structure in Alexandria, relaxed with PBE gives the calculated XRD peak list in this record (a wavelength of 1.5418 Å).

Most intense lines, 2θ from 5° to 70°, by angle:
2θ/deg	intensity
21.08	32
24.39	3
34.77	76
41.01	100
42.93	11
49.99	3
54.83	9
56.38	2
62.32	29
66.58	31

Atomic structure:
a = 5.1608 Å, b = 5.1608 Å, c = 5.1608 Å
α = 60.00°, β = 60.00°, γ = 60.00°
Fractional positions:
Sm1 0.0000 0.0000 0.0000
Pa1 0.7500 0.7500 0.7500
Mn1 0.3761 0.3761 0.3761
Mn2 0.3761 0.3761 0.8718
Mn3 0.3761 0.8718 0.3761
Mn4 0.8718 0.3761 0.3761